1.
Structure and calculated PXRD pattern of LaIr2SeO (a crystal structure in Alexandria, relaxed with GGA-PBE; copper Kα).

Crystal structure
abc: 4.615 4.615 4.506
angles: 90.00 90.00 90.00
Space group P4/mmm (No. 123)
Inequivalent atoms, fractional coordinates:
1 La 0.000 0.000 0.000 (multiplicity 1)
2 Ir 0.000 0.500 0.500 (multiplicity 2)
3 Se 0.500 0.500 0.500 (multiplicity 1)
4 O 0.500 0.500 0.000 (multiplicity 1)

Largest 6 diffraction maxima, by angle, 10 to 80 degrees two-theta:
2theta	I_rel	index
19.70	43	0 0 1
27.67	33	1 0 1
33.92	100	1 1 1
39.04	62	2 0 0
40.02	29	0 0 2
57.14	41	2 0 2

2.
Structure and calculated PXRD pattern of Na5B7C3 (a crystal structure in Alexandria, relaxed with GGA-PBE; copper Kα).

Crystal structure
abc: 2.8939 2.8939 42.7113
angles: 90.00 90.00 120.00
Space group P6_3/mmc (No. 194)
Inequivalent atoms, fractional coordinates:
1 Na 0.0000 0.0000 0.0000 (multiplicity 2)
2 Na 0.0000 0.0000 0.1021 (multiplicity 4)
3 Na 0.0000 0.0000 0.2008 (multiplicity 4)
4 B 0.3333 0.6667 0.0513 (multiplicity 4)
5 B 0.3333 0.6667 0.1517 (multiplicity 4)
6 B 0.3333 0.6667 0.5513 (multiplicity 4)
7 B 0.3333 0.6667 0.7500 (multiplicity 2)
8 C 0.3333 0.6667 0.2500 (multiplicity 2)
9 C 0.3333 0.6667 0.6518 (multiplicity 4)

Largest 6 diffraction maxima, by angle, 10 to 80 degrees two-theta:
2theta	I_rel	index
35.83	18	1 0 0
41.79	100	1 0 10
42.32	24	0 0 20
64.39	18	1 1 0
77.04	12	1 0 30
79.76	11	2 0 10

3.
Structure and calculated PXRD pattern of Zn2Pd7Pt3 (a crystal structure in Alexandria, relaxed with GGA-PBE; copper Kα).

Crystal structure
abc: 3.952 26.363 3.833
angles: 90.00 90.00 90.00
Space group Cmmm (No. 65)
Inequivalent atoms, fractional coordinates:
1 Zn 0.000 0.152 0.000 (multiplicity 4)
2 Pd 0.000 0.000 0.000 (multiplicity 2)
3 Pd 0.000 0.077 0.500 (multiplicity 4)
4 Pd 0.000 0.282 0.000 (multiplicity 4)
5 Pd 0.000 0.423 0.000 (multiplicity 4)
6 Pt 0.000 0.349 0.500 (multiplicity 4)
7 Pt 0.000 0.500 0.500 (multiplicity 2)

Largest 6 diffraction maxima, by angle, 10 to 80 degrees two-theta:
2theta	I_rel	index
36.85	14	1 5 1
40.61	100	1 7 1
45.93	19	2 0 0
47.44	17	0 0 2
48.33	12	0 14 0
68.17	11	2 0 2

4.
Structure and calculated PXRD pattern of Sm3Dy5Y2 (a crystal structure in Alexandria, relaxed with GGA-PBE; copper Kα).

Crystal structure
abc: 11.330 17.691 6.682
angles: 90.00 90.00 90.00
Space group Ibam (No. 72)
Inequivalent atoms, fractional coordinates:
1 Sm 0.000 0.000 0.250 (multiplicity 4)
2 Sm 0.213 0.328 0.000 (multiplicity 8)
3 Dy 0.000 0.181 0.250 (multiplicity 8)
4 Dy 0.000 0.500 0.250 (multiplicity 4)
5 Dy 0.092 0.331 0.500 (multiplicity 8)
6 Y 0.235 0.030 0.000 (multiplicity 8)

Largest 6 diffraction maxima, by angle, 10 to 80 degrees two-theta:
2theta	I_rel	index
28.06	54	3 3 0
30.31	96	0 6 0
31.08	100	2 0 2
31.78	94	1 3 2
33.97	67	3 4 1
43.97	56	2 6 2

5.
Structure and calculated PXRD pattern of MnAlCu (a crystal structure in Alexandria, relaxed with GGA-PBE; copper Kα).

Crystal structure
abc: 2.772 2.772 9.576
angles: 90.00 90.00 90.00
Space group P4/nmm (No. 129, origin choice 2)
Inequivalent atoms, fractional coordinates:
1 Mn 0.250 0.250 0.067 (multiplicity 2)
2 Al 0.250 0.250 0.761 (multiplicity 2)
3 Cu 0.250 0.250 0.415 (multiplicity 2)

Largest 6 diffraction maxima, by angle, 10 to 80 degrees two-theta:
2theta	I_rel	index
18.53	19	0 0 2
33.65	9	1 0 1
43.22	100	1 0 3
46.31	42	1 1 0
67.58	12	2 0 0
77.05	14	1 1 6

6.
Structure and calculated PXRD pattern of U3Sb (a crystal structure in Alexandria, relaxed with GGA-PBE; copper Kα).

Crystal structure
abc: 4.439 4.439 4.439
angles: 90.00 90.00 90.00
Space group Pm-3m (No. 221)
Inequivalent atoms, fractional coordinates:
1 U 0.000 0.000 0.500 (multiplicity 3)
2 Sb 0.500 0.500 0.500 (multiplicity 1)

Largest 6 diffraction maxima, by angle, 10 to 80 degrees two-theta:
2theta	I_rel	index
20.00	5	1 0 0
35.02	100	1 1 1
40.65	50	2 0 0
58.85	35	2 2 0
70.35	42	3 1 1
73.98	12	2 2 2

7.
Structure and calculated PXRD pattern of MgSc6Ni (a crystal structure in Alexandria, relaxed with GGA-PBE; copper Kα).

Crystal structure
abc: 6.425 10.607 6.133
angles: 90.00 116.05 90.00
Space group C2/m (No. 12)
Inequivalent atoms, fractional coordinates:
1 Mg 0.000 0.000 0.000 (multiplicity 2)
2 Sc 0.203 0.293 0.745 (multiplicity 8)
3 Sc 0.223 0.500 0.286 (multiplicity 4)
4 Ni 0.000 0.500 0.500 (multiplicity 2)

Largest 6 diffraction maxima, by angle, 10 to 80 degrees two-theta:
2theta	I_rel	index
17.49	36	1 1 0
28.14	43	1 1 1
33.70	69	2 0 -2
33.80	50	0 4 0
36.76	30	0 2 2
37.13	100	1 3 1

8.
Structure and calculated PXRD pattern of LiY2 (a crystal structure in Alexandria, relaxed with GGA-PBE; copper Kα).

Crystal structure
abc: 3.613 3.613 26.102
angles: 90.00 90.00 90.00
Space group I4_1/amd (No. 141, origin choice 2)
Inequivalent atoms, fractional coordinates:
1 Li 0.000 0.250 0.375 (multiplicity 4)
2 Y 0.000 0.250 0.805 (multiplicity 8)

Largest 6 diffraction maxima, by angle, 10 to 80 degrees two-theta:
2theta	I_rel	index
24.88	100	1 0 1
27.33	41	0 0 8
30.08	31	1 0 5
34.57	57	1 0 7
35.81	43	1 1 2
40.97	49	1 1 6

9.
Structure and calculated PXRD pattern of CeNdY5 (a crystal structure in Alexandria, relaxed with GGA-PBE; copper Kα).

Crystal structure
abc: 12.180 6.738 11.313
angles: 90.00 90.00 90.00
Space group Cmcm (No. 63)
Inequivalent atoms, fractional coordinates:
1 Ce 0.000 0.000 0.000 (multiplicity 4)
2 Nd 0.000 0.326 0.250 (multiplicity 4)
3 Y 0.000 0.232 0.750 (multiplicity 4)
4 Y 0.149 0.500 0.000 (multiplicity 8)
5 Y 0.219 0.120 0.250 (multiplicity 8)

Largest 6 diffraction maxima, by angle, 10 to 80 degrees two-theta:
2theta	I_rel	index
30.17	100	3 1 2
30.89	56	0 2 2
31.36	43	2 2 1
31.64	62	0 0 4
33.42	27	4 0 2
57.06	31	3 3 4

10.
Structure and calculated PXRD pattern of CsNbSbH2 (a crystal structure in Alexandria, relaxed with GGA-PBE; copper Kα).

Crystal structure
abc: 3.550 3.888 14.839
angles: 90.00 90.00 90.00
Space group Imm2 (No. 44)
Inequivalent atoms, fractional coordinates:
1 Cs 0.000 0.000 0.000 (multiplicity 2)
2 Nb 0.000 0.000 0.289 (multiplicity 2)
3 Sb 0.000 0.000 0.706 (multiplicity 2)
4 H 0.000 0.000 0.412 (multiplicity 2)
5 H 0.000 0.500 0.843 (multiplicity 2)

Largest 6 diffraction maxima, by angle, 10 to 80 degrees two-theta:
2theta	I_rel	index
23.99	57	0 0 4
29.22	100	0 1 3
31.01	84	1 0 3
34.20	97	1 1 0
42.21	51	1 1 4
48.94	33	0 1 7